[1]
# Li3Nd2Sb3
Calculated PXRD pattern, Cu Kα. Input: a structure optimized by DFT (PBE).
Peak positions follow from Bragg's law for the DFT cell and can differ from measured ones.

Largest 10 diffraction maxima, by intensity, 2θ = 10–90°:
- 27.7°, 3.220 Å, rel. 100
- 11.3°, 7.824 Å, rel. 63
- 41.6°, 2.169 Å, rel. 57
- 39.6°, 2.277 Å, rel. 38
- 30.5°, 2.934 Å, rel. 33
- 50.8°, 1.799 Å, rel. 32
- 30.0°, 2.978 Å, rel. 26
- 18.9°, 4.694 Å, rel. 23
- 33.8°, 2.655 Å, rel. 21
- 73.2°, 1.293 Å, rel. 21

Structural model:
```
Li3Nd2Sb3
1.0
3.2199 0.0000 0.0000
0.0000 3.2199 0.0000
0.0000 0.0000 23.4721
Li Nd Sb
3 2 3
Cartesian
0.0000 0.0000 0.0000 Li
0.0000 0.0000 8.9886 Li
0.0000 0.0000 14.4835 Li
0.0000 0.0000 5.7480 Nd
0.0000 0.0000 17.7240 Nd
0.0000 0.0000 2.6578 Sb
0.0000 0.0000 11.7360 Sb
0.0000 0.0000 20.8143 Sb
```

***

[2]
# Li2NdSc3Se6
Calculated PXRD pattern, Cu Kα. Input: a structure optimized by DFT (PBE).
Peak positions follow from Bragg's law for the DFT cell and can differ from measured ones.

Largest 10 diffraction maxima, by intensity, 2θ = 10–90°:
- 32.0°, 2.796 Å, rel. 100
- 45.4°, 1.996 Å, rel. 36
- 46.4°, 1.958 Å, rel. 34
- 57.5°, 1.604 Å, rel. 18
- 76.8°, 1.241 Å, rel. 14
- 75.4°, 1.261 Å, rel. 10
- 15.7°, 5.628 Å, rel. 9
- 27.8°, 3.208 Å, rel. 9
- 17.6°, 5.053 Å, rel. 8
- 85.3°, 1.138 Å, rel. 7

Structural model:
```
Li2NdSc3Se6
1.0
3.3917 -5.8748 0.0000
3.3917 5.8748 0.0000
-2.2767 0.0000 6.5830
Li Nd Sc Se
2 1 3 6
Cartesian
3.3917 3.8910 0.0000 Li
3.3917 -3.8910 0.0000 Li
3.3917 0.0000 0.0000 Nd
-1.1384 0.0000 3.2915 Sc
2.2533 1.9252 3.2915 Sc
2.2533 -1.9252 3.2915 Sc
-0.0516 2.0303 4.8603 Se
1.0415 0.0000 1.7171 Se
-0.0516 -2.0303 4.8603 Se
4.5582 2.0303 1.7227 Se
3.4651 0.0000 4.8659 Se
4.5582 -2.0303 1.7227 Se
```

***

[3]
# Li3Nd5Se8
Calculated PXRD pattern, Cu Kα. Input: a structure optimized by DFT (PBE).
Peak positions follow from Bragg's law for the DFT cell and can differ from measured ones.

Largest 10 diffraction maxima, by intensity, 2θ = 10–90°:
- 30.4°, 2.944 Å, rel. 100
- 43.3°, 2.091 Å, rel. 38
- 43.7°, 2.072 Å, rel. 36
- 53.8°, 1.705 Å, rel. 20
- 25.0°, 3.564 Å, rel. 19
- 13.1°, 6.736 Å, rel. 18
- 71.4°, 1.321 Å, rel. 17
- 72.0°, 1.312 Å, rel. 16
- 79.7°, 1.204 Å, rel. 12
- 63.2°, 1.472 Å, rel. 12

Structural model:
```
Li3Nd5Se8
1.0
4.1829 2.4150 6.7362
-4.1829 2.4150 6.7362
0.0000 -4.8299 6.7362
Li Nd Se
3 5 8
Cartesian
-2.0914 -1.2075 6.7362 Li
-2.0914 1.2075 13.4724 Li
0.0000 2.4150 6.7362 Li
0.0000 0.0000 0.0000 Nd
-4.1829 0.0000 10.1043 Nd
-2.0914 1.2075 3.3681 Nd
2.0914 1.2075 3.3681 Nd
0.0000 0.0000 10.1043 Nd
0.0000 -2.3676 8.3534 Se
-2.0504 1.1838 8.3534 Se
0.0000 0.0000 5.1124 Se
-2.0504 -1.1838 11.8552 Se
2.0504 1.1838 8.3534 Se
0.0000 0.0000 15.0962 Se
2.0504 -1.1838 11.8552 Se
0.0000 2.3676 11.8552 Se
```

***

[4]
# Li3Nd3TiSe8
Calculated PXRD pattern, Cu Kα. Input: a structure optimized by DFT (PBE).
Peak positions follow from Bragg's law for the DFT cell and can differ from measured ones.

Largest 10 diffraction maxima, by intensity, 2θ = 10–90°:
- 31.1°, 2.877 Å, rel. 100
- 13.7°, 6.475 Å, rel. 44
- 43.9°, 2.062 Å, rel. 35
- 45.2°, 2.008 Å, rel. 35
- 25.4°, 3.512 Å, rel. 29
- 54.8°, 1.676 Å, rel. 17
- 74.5°, 1.273 Å, rel. 14
- 72.7°, 1.300 Å, rel. 13
- 34.1°, 2.629 Å, rel. 12
- 46.2°, 1.965 Å, rel. 12

Structural model:
```
Li3Nd3TiSe8
1.0
4.1235 2.3807 6.4754
-4.1235 2.3807 6.4754
0.0000 -4.7614 6.4754
Li Nd Ti Se
3 3 1 8
Cartesian
-2.0618 -1.1904 6.4754 Li
-2.0618 1.1904 12.9508 Li
0.0000 2.3807 6.4754 Li
-4.1235 0.0000 9.7131 Nd
-2.0618 1.1904 3.2377 Nd
2.0618 1.1904 3.2377 Nd
0.0000 0.0000 9.7131 Ti
0.0000 0.0000 4.9494 Se
0.0000 -2.1286 8.1556 Se
-1.8434 1.0643 8.1556 Se
-1.8434 -1.0643 11.2706 Se
1.8434 1.0643 8.1556 Se
1.8434 -1.0643 11.2706 Se
0.0000 2.1286 11.2706 Se
0.0000 0.0000 14.4768 Se
```

***

[5]
# LiNd2TmSe5
Calculated PXRD pattern, Cu Kα. Input: a structure optimized by DFT (PBE).
Peak positions follow from Bragg's law for the DFT cell and can differ from measured ones.

Largest 10 diffraction maxima, by intensity, 2θ = 10–90°:
- 31.0°, 2.883 Å, rel. 100
- 36.9°, 2.436 Å, rel. 54
- 32.0°, 2.801 Å, rel. 33
- 43.8°, 2.065 Å, rel. 24
- 55.3°, 1.662 Å, rel. 15
- 17.6°, 5.041 Å, rel. 14
- 23.8°, 3.734 Å, rel. 12
- 39.5°, 2.279 Å, rel. 12
- 45.0°, 2.014 Å, rel. 12
- 21.8°, 4.074 Å, rel. 12

Structural model:
```
LiNd2TmSe5
1.0
2.0648 -8.6249 0.0000
2.0648 8.6249 0.0000
0.0000 0.0000 12.4252
Li Nd Tm Se
2 4 2 10
Cartesian
2.0648 8.3770 6.2126 Li
2.0648 -8.3770 0.0000 Li
2.0648 2.1744 3.9244 Nd
2.0648 1.8499 8.7559 Nd
2.0648 -1.8499 2.5433 Nd
2.0648 -2.1744 10.1370 Nd
2.0648 3.4004 0.2763 Tm
2.0648 -3.4004 6.4889 Tm
2.0648 8.6240 3.7627 Se
2.0648 -8.6240 9.9753 Se
2.0648 6.2306 0.2082 Se
2.0648 5.3026 4.5349 Se
2.0648 4.9090 8.4326 Se
2.0648 0.8321 1.1145 Se
2.0648 -0.8321 7.3271 Se
2.0648 -4.9090 2.2200 Se
2.0648 -5.3026 10.7475 Se
2.0648 -6.2306 6.4208 Se
```

***

[6]
# Li2Nd2Si3
Calculated PXRD pattern, Cu Kα. Input: a structure optimized by DFT (PBE).
Peak positions follow from Bragg's law for the DFT cell and can differ from measured ones.

Largest 10 diffraction maxima, by intensity, 2θ = 10–90°:
- 34.3°, 2.618 Å, rel. 100
- 33.6°, 2.669 Å, rel. 65
- 23.2°, 3.828 Å, rel. 48
- 20.7°, 4.292 Å, rel. 43
- 26.1°, 3.409 Å, rel. 36
- 40.9°, 2.206 Å, rel. 21
- 49.2°, 1.851 Å, rel. 20
- 31.8°, 2.810 Å, rel. 20
- 44.4°, 2.040 Å, rel. 19
- 51.5°, 1.773 Å, rel. 17

Structural model:
```
Li2Nd2Si3
1.0
2.2061 -9.2522 0.0000
2.2061 9.2522 0.0000
0.0000 0.0000 6.8180
Li Nd Si
4 4 6
Cartesian
2.2061 5.7638 3.8235 Li
2.2061 5.7638 6.4034 Li
2.2061 -5.7638 0.4145 Li
2.2061 -5.7638 2.9944 Li
2.2061 2.9212 5.1135 Nd
2.2061 0.9670 1.7045 Nd
2.2061 -0.9670 5.1135 Nd
2.2061 -2.9212 1.7045 Nd
2.2061 8.1760 0.5051 Si
2.2061 8.1760 2.9039 Si
2.2061 4.0706 1.7045 Si
2.2061 -4.0706 5.1135 Si
2.2061 -8.1760 3.9141 Si
2.2061 -8.1760 6.3128 Si
```

***

[7]
# LiNdSi
Calculated PXRD pattern, Cu Kα. Input: a structure optimized by DFT (PBE).
Peak positions follow from Bragg's law for the DFT cell and can differ from measured ones.

Largest 10 diffraction maxima, by intensity, 2θ = 10–90°:
- 33.2°, 2.699 Å, rel. 100
- 23.0°, 3.870 Å, rel. 79
- 40.4°, 2.234 Å, rel. 35
- 53.2°, 1.721 Å, rel. 26
- 68.9°, 1.363 Å, rel. 24
- 23.6°, 3.768 Å, rel. 18
- 47.3°, 1.922 Å, rel. 18
- 64.7°, 1.440 Å, rel. 17
- 54.1°, 1.694 Å, rel. 16
- 47.0°, 1.935 Å, rel. 12

Structural model:
```
LiNdSi
1.0
4.4682 0.0000 0.0000
-2.2341 3.8696 0.0000
0.0000 0.0000 7.5354
Li Nd Si
2 2 2
Cartesian
0.0000 2.5797 1.8838 Li
2.2341 1.2899 5.6515 Li
0.0000 0.0000 0.0000 Nd
0.0000 0.0000 3.7677 Nd
0.0000 2.5797 5.6515 Si
2.2341 1.2899 1.8838 Si
```

***

[8]
# Li2Tb2NdSi2
Calculated PXRD pattern, Cu Kα. Input: a structure optimized by DFT (PBE).
Peak positions follow from Bragg's law for the DFT cell and can differ from measured ones.

Largest 10 diffraction maxima, by intensity, 2θ = 10–90°:
- 23.1°, 3.851 Å, rel. 100
- 35.3°, 2.540 Å, rel. 70
- 32.8°, 2.731 Å, rel. 61
- 40.1°, 2.247 Å, rel. 53
- 54.5°, 1.683 Å, rel. 20
- 66.9°, 1.399 Å, rel. 20
- 69.8°, 1.347 Å, rel. 19
- 50.9°, 1.794 Å, rel. 16
- 52.8°, 1.735 Å, rel. 16
- 46.8°, 1.941 Å, rel. 15

Structural model:
```
Li2Tb2NdSi2
1.0
2.2468 1.2972 8.9430
-2.2468 1.2972 8.9430
0.0000 -2.5944 8.9430
Li Tb Nd Si
2 2 1 2
Cartesian
0.0000 0.0000 2.5534 Li
0.0000 0.0000 24.2757 Li
0.0000 0.0000 9.9728 Tb
0.0000 0.0000 16.8563 Tb
0.0000 0.0000 13.4145 Nd
0.0000 0.0000 6.4507 Si
0.0000 0.0000 20.3784 Si
```

***

[9]
# LiNdSmTe3
Calculated PXRD pattern, Cu Kα. Input: a structure optimized by DFT (PBE).
Peak positions follow from Bragg's law for the DFT cell and can differ from measured ones.

Largest 10 diffraction maxima, by intensity, 2θ = 10–90°:
- 28.9°, 3.087 Å, rel. 100
- 28.7°, 3.113 Å, rel. 34
- 37.4°, 2.405 Å, rel. 25
- 39.5°, 2.279 Å, rel. 21
- 35.1°, 2.556 Å, rel. 20
- 42.0°, 2.153 Å, rel. 19
- 20.1°, 4.428 Å, rel. 17
- 37.6°, 2.394 Å, rel. 16
- 62.0°, 1.497 Å, rel. 14
- 51.6°, 1.771 Å, rel. 13

Structural model:
```
LiNdSmTe3
1.0
9.1170 0.0000 0.0000
0.0000 4.3069 0.0000
-2.2117 0.0000 9.3396
Li Nd Sm Te
2 2 2 6
Cartesian
0.5827 1.0767 0.7994 Li
6.3226 3.2302 8.5402 Li
0.0840 1.0767 6.8193 Nd
6.8213 3.2302 2.5203 Nd
2.2879 3.2302 3.1676 Sm
4.6174 1.0767 6.1720 Sm
-0.0152 1.0767 3.5013 Te
-0.1323 3.2302 9.3162 Te
2.3884 3.2302 6.3297 Te
4.5169 1.0767 3.0099 Te
7.0376 1.0767 0.0234 Te
6.9205 3.2302 5.8383 Te
```

***

[10]
# LiNd4Sn15
Calculated PXRD pattern, Cu Kα. Input: a structure optimized by DFT (PBE).
Peak positions follow from Bragg's law for the DFT cell and can differ from measured ones.

Largest 10 diffraction maxima, by intensity, 2θ = 10–90°:
- 32.7°, 2.742 Å, rel. 100
- 38.2°, 2.358 Å, rel. 33
- 65.5°, 1.425 Å, rel. 28
- 54.4°, 1.686 Å, rel. 23
- 37.3°, 2.411 Å, rel. 17
- 64.4°, 1.448 Å, rel. 14
- 89.7°, 1.093 Å, rel. 12
- 68.4°, 1.371 Å, rel. 12
- 55.1°, 1.667 Å, rel. 12
- 81.7°, 1.179 Å, rel. 4

Structural model:
```
LiNd4Sn15
1.0
4.7158 0.0000 0.0000
0.0000 4.7158 0.0000
0.0000 0.0000 24.1058
Li Nd Sn
1 4 15
Cartesian
0.0000 0.0000 0.0000 Li
0.0000 0.0000 4.8213 Nd
0.0000 0.0000 9.6191 Nd
0.0000 0.0000 14.4867 Nd
0.0000 0.0000 19.2845 Nd
0.0000 2.3579 2.2593 Sn
0.0000 2.3579 7.1905 Sn
0.0000 2.3579 12.0529 Sn
0.0000 2.3579 16.9154 Sn
0.0000 2.3579 21.8465 Sn
2.3579 0.0000 2.2593 Sn
2.3579 0.0000 7.1905 Sn
2.3579 0.0000 12.0529 Sn
2.3579 0.0000 16.9154 Sn
2.3579 0.0000 21.8465 Sn
2.3579 2.3579 0.0000 Sn
2.3579 2.3579 4.6927 Sn
2.3579 2.3579 9.6371 Sn
2.3579 2.3579 14.4688 Sn
2.3579 2.3579 19.4131 Sn
```

***

[11]
# Li3NdSn3
Calculated PXRD pattern, Cu Kα. Input: a structure optimized by DFT (PBE).
Peak positions follow from Bragg's law for the DFT cell and can differ from measured ones.

Largest 10 diffraction maxima, by intensity, 2θ = 10–90°:
- 30.7°, 2.909 Å, rel. 100
- 28.0°, 3.187 Å, rel. 93
- 47.8°, 1.905 Å, rel. 60
- 25.0°, 3.563 Å, rel. 42
- 45.9°, 1.977 Å, rel. 25
- 59.4°, 1.555 Å, rel. 24
- 51.3°, 1.782 Å, rel. 23
- 71.3°, 1.323 Å, rel. 21
- 83.6°, 1.156 Å, rel. 18
- 72.7°, 1.301 Å, rel. 17

Structural model:
```
Li3NdSn3
1.0
7.1267 0.0000 0.0000
0.0000 7.1267 0.0000
0.0000 0.0000 7.1267
Li Nd Sn
6 2 6
Cartesian
0.0000 1.7817 3.5633 Li
0.0000 5.3450 3.5633 Li
1.7817 3.5633 0.0000 Li
3.5633 0.0000 1.7817 Li
3.5633 0.0000 5.3450 Li
5.3450 3.5633 0.0000 Li
0.0000 0.0000 0.0000 Nd
3.5633 3.5633 3.5633 Nd
0.0000 3.5633 1.7817 Sn
0.0000 3.5633 5.3450 Sn
1.7817 0.0000 3.5633 Sn
3.5633 1.7817 0.0000 Sn
3.5633 5.3450 0.0000 Sn
5.3450 0.0000 3.5633 Sn
```

***

[12]
# LiNd4Sn
Calculated PXRD pattern, Cu Kα. Input: a structure optimized by DFT (PBE).
Peak positions follow from Bragg's law for the DFT cell and can differ from measured ones.

Largest 10 diffraction maxima, by intensity, 2θ = 10–90°:
- 33.6°, 2.667 Å, rel. 100
- 32.9°, 2.726 Å, rel. 97
- 32.4°, 2.764 Å, rel. 59
- 27.8°, 3.204 Å, rel. 45
- 31.3°, 2.858 Å, rel. 39
- 25.9°, 3.437 Å, rel. 35
- 24.2°, 3.683 Å, rel. 33
- 45.7°, 1.987 Å, rel. 28
- 43.2°, 2.093 Å, rel. 27
- 65.4°, 1.427 Å, rel. 26

Structural model:
```
LiNd4Sn
1.0
2.7641 -10.9692 0.0000
2.7641 10.9692 0.0000
0.0000 0.0000 6.6969
Li Nd Sn
2 8 2
Cartesian
2.7641 9.2646 3.3485 Li
2.7641 -9.2646 0.0000 Li
2.7641 9.5614 0.0032 Nd
2.7641 6.3966 1.6323 Nd
2.7641 6.3944 5.0883 Nd
2.7641 2.8450 0.0157 Nd
2.7641 -2.8450 3.3642 Nd
2.7641 -6.3944 1.7399 Nd
2.7641 -6.3966 4.9807 Nd
2.7641 -9.5614 3.3516 Nd
2.7641 3.3449 3.3617 Sn
2.7641 -3.3449 0.0133 Sn
```

***

[13]
# Li2Nd2ThSn2
Calculated PXRD pattern, Cu Kα. Input: a structure optimized by DFT (PBE).
Peak positions follow from Bragg's law for the DFT cell and can differ from measured ones.

Largest 10 diffraction maxima, by intensity, 2θ = 10–90°:
- 21.4°, 4.156 Å, rel. 100
- 33.6°, 2.666 Å, rel. 99
- 31.1°, 2.875 Å, rel. 98
- 37.0°, 2.427 Å, rel. 96
- 63.5°, 1.466 Å, rel. 38
- 50.9°, 1.795 Å, rel. 31
- 64.6°, 1.443 Å, rel. 31
- 49.1°, 1.855 Å, rel. 28
- 63.1°, 1.474 Å, rel. 27
- 66.8°, 1.401 Å, rel. 18

Structural model:
```
Li2Nd2ThSn2
1.0
2.4271 1.4013 9.1933
-2.4271 1.4013 9.1933
0.0000 -2.8026 9.1933
Li Nd Th Sn
2 2 1 2
Cartesian
0.0000 0.0000 2.6681 Li
0.0000 0.0000 24.9118 Li
0.0000 0.0000 10.2441 Nd
0.0000 0.0000 17.3358 Nd
0.0000 0.0000 13.7899 Th
0.0000 0.0000 6.4667 Sn
0.0000 0.0000 21.1132 Sn
```